Entry 1:
Starting from a crystal structure in Alexandria, relaxed with GGA-PBE, the X-ray powder pattern of Pu6Mn2Rh was simulated for Cu Kα (weighted mean of Kα1 and Kα2).
Peak positions follow from Bragg's law for the DFT cell and can differ from measured ones.

Most intense lines, 10 to 90 degrees two-theta, in order of rising 2θ:
- 23.26 deg, I = 21, (1 1 0)
- 33.08 deg, I = 13, (0 0 1)
- 40.86 deg, I = 100, (3 0 0)
- 53.56 deg, I = 20, (0 3 1)
- 59.15 deg, I = 15, (2 2 1)
- 74.37 deg, I = 23, (5 -1 1)
- 74.44 deg, I = 9, (3 3 0)
- 83.87 deg, I = 8, (6 -3 1)
- 88.48 deg, I = 6, (2 2 2)
- 88.60 deg, I = 5, (6 0 0)

Atomic structure:
a = 7.6475 Å, b = 7.6475 Å, c = 2.7080 Å
α = 90.00°, β = 90.00°, γ = 120.00°
Space group P-3 (No. 147)
Symmetry-distinct sites (fractional):
Pu 0.0139 0.6617 0.0863 (multiplicity 6)
Mn 0.3333 0.6667 0.3946 (multiplicity 2)
Rh 0.0000 0.0000 0.5000 (multiplicity 1)

---

Entry 2:
Starting from a crystal structure in Alexandria, relaxed with GGA-PBE, the X-ray powder pattern of Pu6MnRh2 was simulated for Cu Kα (weighted mean of Kα1 and Kα2).
Peak positions follow from Bragg's law for the DFT cell and can differ from measured ones.

Most intense lines, 10 to 90 degrees two-theta, in order of rising 2θ:
- 23.02 deg, I = 28, (1 1 0)
- 32.31 deg, I = 20, (0 0 1)
- 40.05 deg, I = 89, (1 1 1)
- 40.44 deg, I = 100, (3 0 0)
- 52.68 deg, I = 29, (0 3 1)
- 58.23 deg, I = 28, (4 -2 1)
- 72.49 deg, I = 16, (1 1 2)
- 73.28 deg, I = 26, (4 1 1)
- 73.55 deg, I = 15, (3 3 0)
- 86.45 deg, I = 10, (4 -2 2)

Atomic structure:
a = 7.7264 Å, b = 7.7264 Å, c = 2.7705 Å
α = 90.00°, β = 90.00°, γ = 120.00°
Space group P-3 (No. 147)
Symmetry-distinct sites (fractional):
Pu 0.0016 0.3148 0.0861 (multiplicity 6)
Mn 0.0000 0.0000 0.5000 (multiplicity 1)
Rh 0.3333 0.6667 0.4942 (multiplicity 2)

---

Entry 3:
Starting from a crystal structure in Alexandria, relaxed with GGA-PBE, the X-ray powder pattern of Pu3Mn2Ru was simulated for Cu Kα (weighted mean of Kα1 and Kα2).
Peak positions follow from Bragg's law for the DFT cell and can differ from measured ones.

Most intense lines, 10 to 90 degrees two-theta, in order of rising 2θ:
- 17.44 deg, I = 34, (1 0 1)
- 28.46 deg, I = 50, (1 2 1)
- 29.40 deg, I = 31, (2 1 1)
- 35.31 deg, I = 100, (2 0 2)
- 36.21 deg, I = 57, (0 3 1)
- 40.58 deg, I = 22, (0 1 3)
- 42.17 deg, I = 46, (2 2 2)
- 43.82 deg, I = 41, (2 3 1)
- 44.90 deg, I = 31, (3 2 1)
- 58.38 deg, I = 23, (2 3 3)

Atomic structure:
a = 7.463 Å, b = 7.968 Å, c = 6.944 Å
α = 90.00°, β = 90.00°, γ = 90.00°
Space group Imma (No. 74)
Symmetry-distinct sites (fractional):
Pu 0.000 0.000 0.000 (multiplicity 4)
Pu 0.250 0.077 0.250 (multiplicity 8)
Mn 0.168 0.250 0.895 (multiplicity 8)
Ru 0.000 0.250 0.578 (multiplicity 4)

---

Entry 4:
Starting from a crystal structure in Alexandria, relaxed with GGA-PBE, the X-ray powder pattern of Pu3MnRu3 was simulated for Cu Kα (weighted mean of Kα1 and Kα2).
Peak positions follow from Bragg's law for the DFT cell and can differ from measured ones.

Most intense lines, 10 to 90 degrees two-theta, in order of rising 2θ:
- 19.71 deg, I = 9, (2 0 0)
- 27.47 deg, I = 21, (2 2 0)
- 27.71 deg, I = 11, (0 0 2)
- 38.42 deg, I = 28, (0 4 0)
- 39.41 deg, I = 100, (2 2 2)
- 40.04 deg, I = 22, (4 0 0)
- 56.69 deg, I = 16, (4 4 0)
- 70.15 deg, I = 18, (2 6 2)
- 72.31 deg, I = 13, (6 2 2)
- 84.81 deg, I = 10, (4 4 4)

Atomic structure:
a = 9.007 Å, b = 9.372 Å, c = 6.440 Å
α = 90.00°, β = 90.00°, γ = 90.00°
Space group Cmmm (No. 65)
Symmetry-distinct sites (fractional):
Pu 0.000 0.246 0.000 (multiplicity 4)
Pu 0.225 0.000 0.500 (multiplicity 4)
Pu 0.233 0.000 0.000 (multiplicity 4)
Mn 0.000 0.267 0.500 (multiplicity 4)
Ru 0.000 0.500 0.249 (multiplicity 4)
Ru 0.250 0.250 0.263 (multiplicity 8)